This entry pairs a crystal structure of Ti2NiSe4 with its simulated powder X-ray diffraction pattern. Radiation: Cu Kα X-rays. Structure: DFT lattice parameters and positions (PBE).

Structure:
Unit cell a=6.915 b=6.915 c=6.171 alpha=116.26 beta=116.26 gamma=30.11
Fractional positions:
Ti  0.248  0.248  0.239
Ti  0.752  0.752  0.761
Ni  0.500  0.500  0.500
Se  0.120  0.120  0.454
Se  0.383  0.383  0.048
Se  0.617  0.617  0.952
Se  0.880  0.880  0.546

Principal peaks in the range 10° ≤ 2θ ≤ 90°, sorted by position:
Position (°2θ)	I (rel.)
32.5	100
32.8	32
42.1	84
50.8	20
51.2	39
84.8	21